Entry 1:
Theoretical powder diffraction line list
Compound: LaTb5Ho2Er
Radiation: a wavelength of 1.5418 Å
Structure: a PBE-relaxed structure

```
data_LaTb5Ho2Er
_chemical_formula_sum 'La4 Tb20 Ho8 Er4'
_cell_length_a 5.6312
_cell_length_b 19.8592
_cell_length_c 10.5464
_cell_angle_alpha 90.00
_cell_angle_beta 90.00
_cell_angle_gamma 90.00
_space_group_name_H-M_alt 'C m c 21'
_space_group_IT_number 36
loop_
_space_group_symop_operation_xyz
'x,y,z'
'-x,-y,z+1/2'
'-x,y,z'
'x,-y,z+1/2'
'x+1/2,y+1/2,z'
'-x+1/2,-y+1/2,z+1/2'
'-x+1/2,y+1/2,z'
'x+1/2,-y+1/2,z+1/2'
loop_
_atom_site_label
_atom_site_type_symbol
_atom_site_fract_x
_atom_site_fract_y
_atom_site_fract_z
La1 La 0.0000 0.0825 0.0000
Tb1 Tb 0.0000 0.0203 0.2865
Tb2 Tb 0.0000 0.1148 0.5715
Tb3 Tb 0.0000 0.2028 0.2577
Tb4 Tb 0.0000 0.2192 0.8633
Tb5 Tb 0.0000 0.4826 0.5730
Ho1 Ho 0.0000 0.3863 0.8671
Ho2 Ho 0.0000 0.3880 0.2820
Er1 Er 0.0000 0.3004 0.5610
```

Peak list (10 most intense, 15° ≤ 2θ ≤ 90°, most intense first)
- 2θ = 32.4°, 2.764 Å, rel. 100
- 2θ = 30.3°, 2.949 Å, rel. 43
- 2θ = 31.8°, 2.816 Å, rel. 42
- 2θ = 28.3°, 3.158 Å, rel. 21
- 2θ = 57.0°, 1.615 Å, rel. 20
- 2θ = 59.9°, 1.545 Å, rel. 15
- 2θ = 61.7°, 1.504 Å, rel. 14
- 2θ = 43.0°, 2.102 Å, rel. 13
- 2θ = 51.4°, 1.779 Å, rel. 12
- 2θ = 34.0°, 2.637 Å, rel. 12



Entry 2:
Theoretical powder diffraction line list
Compound: AcIn4Pt4
Radiation: a wavelength of 1.5418 Å
Structure: a PBE-relaxed structure

```
data_AcIn4Pt4
_chemical_formula_sum 'Ac2 In8 Pt8'
_cell_length_a 9.0855
_cell_length_b 9.0855
_cell_length_c 5.3607
_cell_angle_alpha 90.00
_cell_angle_beta 90.00
_cell_angle_gamma 90.00
_space_group_name_H-M_alt 'P 42/n'
_space_group_IT_number 86
loop_
_space_group_symop_operation_xyz
'x,y,z'
'-x,-y,-z'
'-y,x+1/2,z+1/2'
'y,-x+1/2,-z+1/2'
'-x+1/2,-y+1/2,z'
'x+1/2,y+1/2,-z'
'y+1/2,-x,z+1/2'
'-y+1/2,x,-z+1/2'
loop_
_atom_site_label
_atom_site_type_symbol
_atom_site_fract_x
_atom_site_fract_y
_atom_site_fract_z
Ac1 Ac 0.2500 0.2500 0.2500
In1 In 0.1055 0.6394 0.1613
Pt1 Pt 0.0512 0.6022 0.6665
```

Peak list (10 most intense, 15° ≤ 2θ ≤ 90°, most intense first)
- 2θ = 31.1°, 2.873 Å, rel. 100
- 2θ = 45.2°, 2.007 Å, rel. 38
- 2θ = 34.9°, 2.571 Å, rel. 36
- 2θ = 19.2°, 4.617 Å, rel. 35
- 2θ = 39.5°, 2.280 Å, rel. 35
- 2θ = 44.5°, 2.038 Å, rel. 34
- 2θ = 46.3°, 1.960 Å, rel. 24
- 2θ = 27.5°, 3.238 Å, rel. 20
- 2θ = 44.6°, 2.032 Å, rel. 20
- 2θ = 33.4°, 2.680 Å, rel. 18